For Ti2Al5V4, a GGA-PBE-relaxed structure gives the simulated X-ray diffraction stick pattern in this record (Cu Kα, 1.54184 Å).
Intensities are scaled so that the largest is 100.

```
data_Ti2Al5V4
_chemical_formula_sum 'Ti4 Al10 V8'
_space_group_name_H-M_alt 'C 1 2/m 1'
_space_group_IT_number 12
_cell_length_a 11.0011
_cell_length_b 5.2115
_cell_length_c 7.4739
_cell_angle_alpha 90.00
_cell_angle_beta 125.61
_cell_angle_gamma 90.00
loop_
_space_group_symop_operation_xyz
'x,y,z'
'-x,-y,-z'
'-x,y,-z'
'x,-y,z'
'x+1/2,y+1/2,z'
'-x+1/2,-y+1/2,-z'
'-x+1/2,y+1/2,-z'
'x+1/2,-y+1/2,z'
loop_
_atom_site_label
_atom_site_type_symbol
_atom_site_fract_x
_atom_site_fract_y
_atom_site_fract_z
Ti1 Ti 0.2303 0.0000 0.2472
Al1 Al 0.0000 0.5000 0.0000
Al2 Al 0.0018 0.2513 0.6872
V1 V 0.2446 0.5000 0.0592
V2 V 0.2498 0.0000 0.6099
```

Peak list (6 most intense, 5° ≤ 2θ ≤ 70°, in order of rising 2θ)
- 19.85°, rel. 54.9, hkl 2 0 0
- 34.42°, rel. 24.2, hkl 0 2 0
- 40.05°, rel. 93.5, hkl 2 2 0
- 40.35°, rel. 100.0, hkl 4 0 0
- 43.28°, rel. 48.0, hkl 1 1 -3
- 47.39°, rel. 33.7, hkl 5 1 -3


For Pm3Sm2Y7, a GGA-PBE-relaxed structure gives the simulated X-ray diffraction stick pattern in this record (Cu Kα, 1.54184 Å).
Intensities are scaled so that the largest is 100.

```
data_Pm3Sm2Y7
_chemical_formula_sum 'Pm6 Sm4 Y14'
_space_group_name_H-M_alt 'C m m m'
_space_group_IT_number 65
_space_group_name_Hall '-C 2 2'
_cell_length_a 5.9065
_cell_length_b 37.8227
_cell_length_c 3.6326
_cell_angle_alpha 90.00
_cell_angle_beta 90.00
_cell_angle_gamma 90.00
loop_
_atom_site_label
_atom_site_type_symbol
_atom_site_fract_x
_atom_site_fract_y
_atom_site_fract_z
Pm1 Pm 0.0000 0.0000 0.0000
Pm2 Pm 0.0000 0.1496 0.0000
Sm1 Sm 0.0000 0.3248 0.5000
Y1 Y 0.0000 0.0728 0.5000
Y2 Y 0.0000 0.2291 0.5000
Y3 Y 0.0000 0.4114 0.0000
Y4 Y 0.0000 0.5000 0.5000
```

Peak list (6 most intense, 5° ≤ 2θ ≤ 70°, in order of rising 2θ)
- 28.32°, rel. 28.3, hkl 0 12 0
- 30.07°, rel. 30.4, hkl 1 11 0
- 30.26°, rel. 58.9, hkl 2 0 0
- 31.23°, rel. 44.9, hkl 1 5 1
- 33.37°, rel. 100.0, hkl 1 7 1
- 55.77°, rel. 22.6, hkl 3 7 1


For Al4P3H3O15, a GGA-PBE-relaxed structure gives the simulated X-ray diffraction stick pattern in this record (Cu Kα, 1.54184 Å).
Intensities are scaled so that the largest is 100.

```
data_Al4P3H3O15
_chemical_formula_sum 'Al16 P12 H12 O60'
_space_group_name_H-M_alt 'C 1 2/c 1'
_space_group_IT_number 15
_cell_length_a 19.1657
_cell_length_b 7.1023
_cell_length_c 7.2902
_cell_angle_alpha 90.00
_cell_angle_beta 100.51
_cell_angle_gamma 90.00
loop_
_space_group_symop_operation_xyz
'x,y,z'
'-x,-y,-z'
'-x,y,-z+1/2'
'x,-y,z+1/2'
'x+1/2,y+1/2,z'
'-x+1/2,-y+1/2,-z'
'-x+1/2,y+1/2,-z+1/2'
'x+1/2,-y+1/2,z+1/2'
loop_
_atom_site_label
_atom_site_type_symbol
_atom_site_fract_x
_atom_site_fract_y
_atom_site_fract_z
Al1 Al 0.0730 0.2293 0.4234
Al2 Al 0.1694 0.4927 0.8314
P1 P 0.0000 0.3953 0.7500
P2 P 0.1666 0.1207 0.0866
H1 H 0.0000 0.0043 0.7500
H2 H 0.1946 0.2774 0.6039
O1 O 0.0000 0.1331 0.2500
O2 O 0.0149 0.2767 0.5901
O3 O 0.0656 0.4730 0.3121
O4 O 0.1040 0.0123 0.5325
O5 O 0.1544 0.2412 0.2609
O6 O 0.1602 0.3822 0.5785
O7 O 0.1708 0.2570 0.9275
O8 O 0.2336 0.0046 0.6383
```

Peak list (6 most intense, 5° ≤ 2θ ≤ 70°, in order of rising 2θ)
- 24.00°, rel. 49.4, hkl 3 1 1
- 27.51°, rel. 100.0, hkl 1 1 -2
- 28.04°, rel. 32.2, hkl 0 2 1
- 28.41°, rel. 65.3, hkl 6 0 0
- 31.40°, rel. 34.0, hkl 5 1 1
- 56.78°, rel. 25.1, hkl 2 2 -4


For Hf4OsRu, a GGA-PBE-relaxed structure gives the simulated X-ray diffraction stick pattern in this record (Cu Kα, 1.54184 Å).
Intensities are scaled so that the largest is 100.

```
data_Hf4OsRu
_chemical_formula_sum 'Hf8 Os2 Ru2'
_space_group_name_H-M_alt 'C 1 2/m 1'
_space_group_IT_number 12
_cell_length_a 6.3690
_cell_length_b 6.3690
_cell_length_c 6.3976
_cell_angle_alpha 90.00
_cell_angle_beta 90.09
_cell_angle_gamma 90.00
loop_
_space_group_symop_operation_xyz
'x,y,z'
'-x,-y,-z'
'-x,y,-z'
'x,-y,z'
'x+1/2,y+1/2,z'
'-x+1/2,-y+1/2,-z'
'-x+1/2,y+1/2,-z'
'x+1/2,-y+1/2,z'
loop_
_atom_site_label
_atom_site_type_symbol
_atom_site_fract_x
_atom_site_fract_y
_atom_site_fract_z
Hf1 Hf 0.2502 0.2501 0.2493
Os1 Os 0.0000 0.0000 0.0000
Ru1 Ru 0.0000 0.5000 0.5000
```

Peak list (6 most intense, 5° ≤ 2θ ≤ 70°, in order of rising 2θ)
- 24.17°, rel. 31.7, hkl 1 1 1
- 27.89°, rel. 11.2, hkl 0 0 2
- 28.02°, rel. 22.1, hkl 2 0 0
- 39.95°, rel. 100.0, hkl 2 0 2
- 40.04°, rel. 49.7, hkl 2 2 0
- 57.92°, rel. 17.0, hkl 4 0 0


For Li3La2Zn12Ir, a GGA-PBE-relaxed structure gives the simulated X-ray diffraction stick pattern in this record (Cu Kα, 1.54184 Å).
Intensities are scaled so that the largest is 100.

```
data_Li3La2Zn12Ir
_chemical_formula_sum 'Li9 La6 Zn36 Ir3'
_space_group_name_H-M_alt 'R -3 m'
_space_group_IT_number 166
_space_group_name_Hall '-R 3 2"'
_cell_length_a 5.9219
_cell_length_b 5.9219
_cell_length_c 34.2368
_cell_angle_alpha 90.00
_cell_angle_beta 90.00
_cell_angle_gamma 120.00
loop_
_atom_site_label
_atom_site_type_symbol
_atom_site_fract_x
_atom_site_fract_y
_atom_site_fract_z
Li1 Li 0.0000 0.5000 0.0000
La1 La 0.0000 0.0000 0.1460
Zn1 Zn 0.0147 0.5074 0.1086
Zn2 Zn 0.0368 0.5184 0.6105
Ir1 Ir 0.0000 0.0000 0.5000
```

Peak list (6 most intense, 5° ≤ 2θ ≤ 70°, in order of rising 2θ)
- 7.75°, rel. 100.0, hkl 0 0 3
- 31.21°, rel. 30.2, hkl 1 1 3
- 34.11°, rel. 33.4, hkl 1 1 6
- 36.58°, rel. 32.4, hkl 0 2 4
- 40.88°, rel. 18.3, hkl 0 1 14
- 41.03°, rel. 31.4, hkl 2 0 8